Starting from the GGA-PBE geometry in the Materials Project, the powder diffractogram of Nb5Ir7 was computed for a wavelength of 1.5418 Å.
Neutral-atom scattering factors, no anomalous dispersion.

Cell and atoms:
```
12
Lattice="2.8537 0.0000 0.0000 0.0000 13.7739 0.0000 0.0000 0.0000 4.8629" Properties=species:S:1:pos:R:3 pbc="T T T"
Nb 0.0000 0.0000 0.0000
Nb 0.0000 2.2882 3.0311
Nb 0.0000 4.6895 1.2719
Nb 0.0000 9.0844 1.2719
Nb 0.0000 11.4858 3.0311
Ir 0.0000 6.8870 4.5291
Ir 1.4268 0.0000 2.3849
Ir 1.4268 2.3435 0.6177
Ir 1.4268 4.6274 3.7700
Ir 1.4268 6.8870 2.1575
Ir 1.4268 9.1465 3.7700
Ir 1.4268 11.4305 0.6177
```

Most intense lines, 2θ from 10° to 90°, most intense first:
2θ 39.26, intensity 100, hkl 0 6 0
2θ 41.64, intensity 86, hkl 1 3 1
2θ 38.86, intensity 66, hkl 1 2 1
2θ 45.29, intensity 44, hkl 1 4 1
2θ 66.29, intensity 38, hkl 1 0 3
2θ 79.84, intensity 37, hkl 1 6 3
2θ 79.02, intensity 27, hkl 2 6 0
2θ 45.68, intensity 25, hkl 0 4 2

=====

Starting from the GGA-PBE geometry in the Materials Project, the powder diffractogram of NbIr was computed for a wavelength of 1.5418 Å.
Neutral-atom scattering factors, no anomalous dispersion.

Cell and atoms:
```
2
Lattice="2.8841 0.0000 0.0000 0.0000 2.8841 0.0000 0.0000 0.0000 3.8972" Properties=species:S:1:pos:R:3 pbc="T T T"
Nb 0.0000 0.0000 0.0000
Ir 1.4420 1.4420 1.9486
```

Most intense lines, 2θ from 10° to 90°, most intense first:
2θ 38.85, intensity 100, hkl 1 0 1
2θ 44.42, intensity 34, hkl 1 1 0
2θ 78.04, intensity 26, hkl 2 1 1
2θ 66.35, intensity 21, hkl 1 1 2
2θ 46.61, intensity 15, hkl 0 0 2
2θ 81.21, intensity 12, hkl 1 0 3
2θ 64.63, intensity 11, hkl 2 0 0
2θ 83.38, intensity 11, hkl 2 0 2